Entry 1:
For MgTl5In2, the GGA-PBE geometry in Alexandria gives the computed powder diffraction line list in this record (Cu Kα (weighted mean of Kα1 and Kα2)).
Intensities are scaled so that the largest is 100.

Structure:
```
MgTl5In2
1.0
7.0861 0.0000 0.0000
0.0000 14.3651 0.0000
0.0000 0.0000 4.4904
Mg Tl In
2 10 4
Cartesian
0.0000 0.0000 0.0000
3.5431 7.1825 0.0000
0.0000 7.1825 0.0000
0.0376 3.5966 0.0000
1.6752 12.6438 2.2452
1.8678 5.4613 2.2452
3.5054 10.7791 0.0000
3.5431 0.0000 0.0000
3.5807 3.5859 0.0000
5.2183 8.9038 2.2452
5.4109 1.7212 2.2452
7.0485 10.7684 0.0000
1.7455 1.7489 2.2452
1.7976 8.9314 2.2452
5.2886 5.4337 2.2452
5.3407 12.6162 2.2452
```

Main lines, in order of falling intensity (2θ = 15–90°):
2θ 31.91, I 100; 2θ 32.18, I 97; 2θ 35.60, I 74; 2θ 54.74, I 44; 2θ 61.46, I 30; 2θ 61.96, I 29; 2θ 40.16, I 28; 2θ 50.85, I 13; 2θ 51.59, I 13; 2θ 66.70, I 12


Entry 2:
For LiZrBi2S5, the GGA-PBE geometry in Alexandria gives the computed powder diffraction line list in this record (Cu Kα (weighted mean of Kα1 and Kα2)).
Intensities are scaled so that the largest is 100.

Structure:
```
LiZrBi2S5
1.0
1.8643 -8.3159 0.0000
1.8643 8.3159 0.0000
0.0000 0.0000 13.5876
Li Zr Bi S
2 2 4 10
Cartesian
1.8643 7.4164 6.7938
1.8643 -7.4164 0.0000
1.8643 3.5764 1.6297
1.8643 -3.5764 8.4234
1.8643 2.4576 5.5255
1.8643 1.0514 9.8283
1.8643 -1.0514 3.0345
1.8643 -2.4576 12.3193
1.8643 8.1394 11.4282
1.8643 6.1639 0.9051
1.8643 4.9288 6.5858
1.8643 4.3118 10.1514
1.8643 1.0450 1.4861
1.8643 -1.0450 8.2798
1.8643 -4.3118 3.3577
1.8643 -4.9288 13.3796
1.8643 -6.1639 7.6989
1.8643 -8.1394 4.6344
```

Main lines, in order of falling intensity (2θ = 15–90°):
2θ 22.36, I 100; 2θ 31.54, I 62; 2θ 47.29, I 42; 2θ 36.81, I 34; 2θ 24.47, I 34; 2θ 49.75, I 27; 2θ 16.85, I 26; 2θ 31.78, I 21; 2θ 39.39, I 21; 2θ 54.35, I 19


Entry 3:
For Y4C3, the GGA-PBE geometry in Alexandria gives the computed powder diffraction line list in this record (Cu Kα (weighted mean of Kα1 and Kα2)).
Intensities are scaled so that the largest is 100.

Structure:
```
Y4C3
1.0
5.0805 0.0000 0.0000
0.0000 5.0805 0.0000
0.0000 0.0000 5.0805
Y C
4 3
Cartesian
0.0000 0.0000 0.0000
0.0000 2.5402 2.5402
2.5402 0.0000 2.5402
2.5402 2.5402 0.0000
0.0000 0.0000 2.5402
0.0000 2.5402 0.0000
2.5402 0.0000 0.0000
```

Main lines, in order of falling intensity (2θ = 15–90°):
2θ 30.48, I 100; 2θ 35.33, I 72; 2θ 50.83, I 48; 2θ 60.43, I 42; 2θ 85.47, I 20; 2θ 82.82, I 17; 2θ 63.42, I 16; 2θ 74.74, I 7


Entry 4:
For Pr2Nd4Y7, the GGA-PBE geometry in Alexandria gives the computed powder diffraction line list in this record (Cu Kα (weighted mean of Kα1 and Kα2)).
Intensities are scaled so that the largest is 100.

Structure:
```
Pr2Nd4Y7
1.0
6.2756 0.0000 0.0000
1.0632 8.0434 0.0000
0.0034 4.0762 8.6815
Pr Nd Y
2 4 7
Cartesian
1.5709 2.6574 3.6768
5.7712 9.4622 5.0047
2.6252 8.2237 6.3489
2.6245 1.7013 0.3229
4.7176 10.4183 8.3586
4.7169 3.8960 2.3326
0.5333 6.0598 4.3408
0.5307 3.6170 7.0194
1.5771 5.1261 1.0089
3.6702 7.2817 2.9988
3.6719 4.8379 5.6827
5.7650 6.9935 7.6726
6.8115 8.5026 1.6622
```

Main lines, in order of falling intensity (2θ = 15–90°):
2θ 30.19, I 100; 2θ 35.00, I 50; 2θ 50.32, I 30; 2θ 59.86, I 24; 2θ 59.76, I 18; 2θ 81.90, I 10; 2θ 62.80, I 9; 2θ 84.53, I 7; 2θ 50.39, I 6; 2θ 84.43, I 5


Entry 5:
For Ce2AgAu, the GGA-PBE geometry in Alexandria gives the computed powder diffraction line list in this record (Cu Kα (weighted mean of Kα1 and Kα2)).
Intensities are scaled so that the largest is 100.

Structure:
```
Ce2AgAu
1.0
-3.4948 3.6735 3.7942
3.4948 -3.6735 3.7942
3.4948 3.6735 -3.7942
Ce Ag Au
4 2 2
Cartesian
1.4182 0.0000 0.0000
5.5714 0.0000 0.0000
1.4182 3.6735 0.0000
2.0766 0.0000 3.7942
3.4948 1.8367 1.5485
0.0000 1.8367 2.2457
3.4948 1.8367 -1.5207
0.0000 1.8367 5.3149
```

Main lines, in order of falling intensity (2θ = 15–90°):
2θ 33.97, I 100; 2θ 35.45, I 92; 2θ 34.90, I 77; 2θ 29.89, I 30; 2θ 59.52, I 29; 2θ 62.11, I 29; 2θ 37.82, I 28; 2θ 49.63, I 21; 2θ 40.50, I 21; 2θ 68.19, I 16


Entry 6:
For Mg8TlIr2, the GGA-PBE geometry in Alexandria gives the computed powder diffraction line list in this record (Cu Kα (weighted mean of Kα1 and Kα2)).
Intensities are scaled so that the largest is 100.

Structure:
```
Mg8TlIr2
1.0
4.7345 0.0000 0.0000
-0.2979 6.5176 0.0000
-2.1610 -3.2389 7.0972
Mg Tl Ir
8 1 2
Cartesian
0.0000 0.0000 0.0000
-0.1565 2.9328 0.3847
0.0618 1.0124 2.8947
0.2610 3.6552 4.6276
0.0721 1.0172 6.3273
2.3861 -0.3190 1.7611
2.2167 3.2808 2.1383
3.1448 -1.1668 4.6234
2.4697 1.6853 4.6129
-0.2684 4.8823 2.2836
0.0616 -1.6150 6.9631
```

Main lines, in order of falling intensity (2θ = 15–90°):
2θ 23.23, I 100; 2θ 37.92, I 53; 2θ 38.05, I 50; 2θ 23.74, I 46; 2θ 22.72, I 45; 2θ 26.54, I 33; 2θ 26.76, I 33; 2θ 27.37, I 30; 2θ 45.14, I 22; 2θ 39.10, I 21


Entry 7:
For AlAs2Pd8, the GGA-PBE geometry in Alexandria gives the computed powder diffraction line list in this record (Cu Kα (weighted mean of Kα1 and Kα2)).
Intensities are scaled so that the largest is 100.

Structure:
```
AlAs2Pd8
1.0
-1.9873 3.6172 5.9888
1.9873 -3.6172 5.9888
1.9873 3.6172 -5.9888
Al As Pd
1 2 8
Cartesian
0.0000 0.0000 0.0000
0.0000 0.0000 3.8475
0.0000 0.0000 8.1301
1.9873 -1.6072 4.0050
1.9873 0.0000 1.6046
1.9873 2.2159 0.0000
0.0000 2.0100 1.9838
1.9873 1.6072 4.0050
0.0000 1.4013 5.9888
0.0000 3.6172 4.3842
0.0000 5.2244 1.9838
```

Main lines, in order of falling intensity (2θ = 15–90°):
2θ 40.59, I 100; 2θ 45.65, I 23; 2θ 39.67, I 19; 2θ 45.43, I 17; 2θ 80.94, I 13; 2θ 38.07, I 11; 2θ 66.37, I 10; 2θ 31.77, I 10; 2θ 77.02, I 10; 2θ 34.35, I 9


Entry 8:
For MnInBr3, the GGA-PBE geometry in Alexandria gives the computed powder diffraction line list in this record (Cu Kα (weighted mean of Kα1 and Kα2)).
Intensities are scaled so that the largest is 100.

Structure:
```
MnInBr3
1.0
5.2594 0.0000 0.0000
0.0110 8.3788 0.0000
0.0152 2.2244 8.0817
Mn In Br
2 2 6
Cartesian
0.0000 0.0000 0.0000
0.0185 4.3697 5.2590
0.9153 4.1454 0.9248
4.3790 8.6106 4.3246
1.2865 6.4748 5.2673
1.2742 0.5707 2.0222
1.2883 2.1918 5.8321
4.0075 4.4029 7.5098
4.0087 3.7963 3.2348
4.0190 8.4988 8.0752
```

Main lines, in order of falling intensity (2θ = 15–90°):
2θ 27.86, I 100; 2θ 27.69, I 52; 2θ 32.14, I 26; 2θ 43.19, I 22; 2θ 16.86, I 18; 2θ 44.12, I 18; 2θ 52.48, I 17; 2θ 22.00, I 15; 2θ 21.83, I 15; 2θ 43.88, I 13


Entry 9:
For PrFe3H6, the GGA-PBE geometry in Alexandria gives the computed powder diffraction line list in this record (Cu Kα (weighted mean of Kα1 and Kα2)).
Intensities are scaled so that the largest is 100.

Structure:
```
PrFe3H6
1.0
2.3757 1.3716 4.2928
-2.3757 1.3716 4.2928
0.0000 -2.7432 4.2928
Pr Fe H
1 3 6
Cartesian
0.0000 0.0000 0.0000
0.0000 0.0000 2.8629
0.0000 0.0000 7.1910
0.0000 0.0000 9.8394
-0.7807 -1.4418 6.3096
-1.2256 0.6565 8.2676
-0.8582 1.3970 6.3096
0.0442 -1.3896 8.2676
1.6389 0.0448 6.3096
1.1813 0.7331 8.2676
```

Main lines, in order of falling intensity (2θ = 15–90°):
2θ 37.87, I 100; 2θ 35.40, I 76; 2θ 41.35, I 44; 2θ 22.69, I 39; 2θ 52.80, I 24; 2θ 66.80, I 22; 2θ 25.69, I 20; 2θ 77.94, I 20; 2θ 68.40, I 19; 2θ 70.77, I 17


Entry 10:
For Ba2ScRe2N6, the GGA-PBE geometry in Alexandria gives the computed powder diffraction line list in this record (Cu Kα (weighted mean of Kα1 and Kα2)).
Intensities are scaled so that the largest is 100.

Structure:
```
Ba2ScRe2N6
1.0
3.0643 1.7692 6.0289
-3.0643 1.7692 6.0289
0.0000 -3.5384 6.0289
Ba Sc Re N
2 1 2 6
Cartesian
0.0000 0.0000 4.1527
0.0000 0.0000 13.9340
0.0000 0.0000 0.0000
0.0000 0.0000 7.7628
0.0000 0.0000 10.3239
0.0000 -1.7626 7.3442
-1.5264 0.8813 7.3442
-1.5264 -0.8813 10.7424
1.5264 0.8813 7.3443
1.5264 -0.8813 10.7424
0.0000 1.7626 10.7424
```

Main lines, in order of falling intensity (2θ = 15–90°):
2θ 29.14, I 100; 2θ 17.41, I 50; 2θ 29.89, I 43; 2θ 42.05, I 36; 2θ 54.61, I 24; 2θ 29.64, I 23; 2θ 51.67, I 21; 2θ 52.14, I 18; 2θ 60.42, I 16; 2θ 42.24, I 14


Entry 11:
For Tb4Ce2Ho5, the GGA-PBE geometry in Alexandria gives the computed powder diffraction line list in this record (Cu Kα (weighted mean of Kα1 and Kα2)).
Intensities are scaled so that the largest is 100.

Structure:
```
Tb4Ce2Ho5
1.0
3.4830 0.0000 0.0000
-0.0008 8.6998 0.0000
-1.7353 -1.3964 11.4207
Tb Ce Ho
4 2 5
Cartesian
0.0016 1.4512 2.2640
0.0036 2.8163 8.4286
1.7433 4.4870 2.9921
1.7453 5.8521 9.1567
0.0027 -0.3084 7.1223
1.7442 7.6118 4.2984
-0.0004 4.3499 0.0000
0.0031 5.1600 6.0344
0.0089 0.0245 10.5638
1.7380 7.2789 0.8568
1.7438 2.1434 5.3863
```

Main lines, in order of falling intensity (2θ = 15–90°):
2θ 33.22, I 100; 2θ 31.10, I 82; 2θ 30.55, I 82; 2θ 31.79, I 73; 2θ 37.26, I 47; 2θ 52.53, I 29; 2θ 62.34, I 23; 2θ 62.74, I 22; 2θ 63.59, I 20; 2θ 36.00, I 20


Entry 12:
For YEr3Tm7, the GGA-PBE geometry in Alexandria gives the computed powder diffraction line list in this record (Cu Kα (weighted mean of Kα1 and Kα2)).
Intensities are scaled so that the largest is 100.

Structure:
```
YEr3Tm7
1.0
6.8836 0.0000 0.0000
0.0000 5.4353 0.0000
-3.2999 0.0000 9.1891
Y Er Tm
1 3 7
Cartesian
0.0000 0.0000 0.0000
0.2755 2.7177 4.5617
3.4418 0.0000 0.0000
3.3082 2.7177 4.6274
-1.6499 0.0000 4.5945
-1.5831 2.7177 7.2658
1.7457 2.7177 1.3028
1.8219 0.0000 3.0450
1.7619 0.0000 6.1441
1.8381 2.7177 7.8863
5.1669 2.7177 1.9233
```

Main lines, in order of falling intensity (2θ = 15–90°):
2θ 32.19, I 100; 2θ 33.58, I 76; 2θ 32.96, I 75; 2θ 32.42, I 67; 2θ 32.30, I 46; 2θ 64.03, I 31; 2θ 31.99, I 28; 2θ 58.39, I 23; 2θ 32.75, I 23; 2θ 47.17, I 21